This entry pairs a crystal structure of Pu2CuRh5 with its simulated powder X-ray diffraction pattern. Radiation: Cu Ka. Structure: DFT lattice parameters and positions (PBE).

Largest 10 diffraction maxima, in order of rising 2θ, 10° ≤ 2θ ≤ 90°:
2θ (°)	I_rel
21.65	16
31.65	13
38.67	100
44.12	34
46.60	15
64.17	11
66.11	21
77.50	26
81.09	12
82.94	11

Cell and atoms:
a = 5.806 Å, b = 5.806 Å, c = 7.796 Å
α = 90.00°, β = 90.00°, γ = 90.00°
Positions (direct):
Pu 0.000 0.500 0.000
Pu 0.000 0.500 0.500
Pu 0.500 0.000 0.000
Pu 0.500 0.000 0.500
Cu 0.000 0.000 0.000
Cu 0.500 0.500 0.500
Rh 0.000 0.000 0.500
Rh 0.250 0.250 0.250
Rh 0.250 0.250 0.750
Rh 0.250 0.750 0.250
Rh 0.250 0.750 0.750
Rh 0.500 0.500 0.000
Rh 0.750 0.250 0.250
Rh 0.750 0.250 0.750
Rh 0.750 0.750 0.250
Rh 0.750 0.750 0.750



This entry pairs a crystal structure of Zn2AgGeS4 with its simulated powder X-ray diffraction pattern. Radiation: Cu Ka. Structure: DFT lattice parameters and positions (PBE).

Largest 10 diffraction maxima, in order of rising 2θ, 10° ≤ 2θ ≤ 90°:
2θ (°)	I_rel
17.66	2
27.52	100
31.88	16
45.70	59
54.18	42
56.80	4
66.63	9
73.52	16
75.76	5
84.54	18

Cell and atoms:
a = 6.877 Å, b = 6.877 Å, c = 5.614 Å
α = 65.91°, β = 65.91°, γ = 48.18°
Positions (direct):
Zn 0.000 0.000 0.500
Zn 0.500 0.500 0.000
Ag 0.250 0.250 0.750
Ge 0.750 0.750 0.250
S 0.126 0.641 0.874
S 0.375 0.859 0.141
S 0.641 0.126 0.359
S 0.859 0.375 0.625



This entry pairs a crystal structure of KBiAu with its simulated powder X-ray diffraction pattern. Radiation: Cu Ka. Structure: DFT lattice parameters and positions (PBE).

Largest 10 diffraction maxima, in order of rising 2θ, 10° ≤ 2θ ≤ 90°:
2θ (°)	I_rel
11.54	80
17.23	77
23.90	92
26.61	35
28.22	57
29.61	99
34.87	100
37.30	46
42.71	81
61.47	39

Cell and atoms:
a = 6.943 Å, b = 3.724 Å, c = 7.667 Å
α = 90.00°, β = 90.11°, γ = 90.00°
Positions (direct):
K 0.249 0.000 0.209
K 0.751 0.000 0.791
Bi 0.251 0.500 0.778
Bi 0.749 0.500 0.222
Au 0.000 0.500 0.500
Au 0.500 0.500 0.500



This entry pairs a crystal structure of Pr8Si3S4O with its simulated powder X-ray diffraction pattern. Radiation: Cu Ka. Structure: DFT lattice parameters and positions (PBE).

Largest 10 diffraction maxima, in order of rising 2θ, 10° ≤ 2θ ≤ 90°:
2θ (°)	I_rel
26.15	20
26.36	61
30.47	100
43.49	36
43.77	36
51.70	19
54.26	19
71.77	15
72.17	16
80.22	12

Cell and atoms:
a = 8.324 Å, b = 8.324 Å, c = 8.324 Å
α = 59.60°, β = 59.60°, γ = 59.60°
Positions (direct):
Pr 0.241 0.241 0.757
Pr 0.241 0.757 0.241
Pr 0.243 0.759 0.759
Pr 0.249 0.249 0.249
Pr 0.751 0.751 0.751
Pr 0.757 0.241 0.241
Pr 0.759 0.243 0.759
Pr 0.759 0.759 0.243
Si 0.000 0.500 0.500
Si 0.500 0.000 0.500
Si 0.500 0.500 0.000
S 0.000 0.000 0.500
S 0.000 0.500 0.000
S 0.500 0.000 0.000
S 0.500 0.500 0.500
O 0.000 0.000 0.000



This entry pairs a crystal structure of Tb3Pr4Ho4 with its simulated powder X-ray diffraction pattern. Radiation: Cu Ka. Structure: DFT lattice parameters and positions (PBE).

Largest 10 diffraction maxima, in order of rising 2θ, 10° ≤ 2θ ≤ 90°:
2θ (°)	I_rel
30.37	32
30.75	17
31.29	38
31.88	100
33.37	15
44.44	12
46.39	12
56.07	20
61.84	13
62.18	12

Cell and atoms:
a = 10.742 Å, b = 6.683 Å, c = 6.683 Å
α = 50.65°, β = 90.00°, γ = 90.00°
Positions (direct):
Tb 0.000 0.000 0.000
Tb 0.287 0.157 0.157
Tb 0.713 0.157 0.157
Pr 0.000 0.707 0.707
Pr 0.208 0.501 0.501
Pr 0.500 0.627 0.627
Pr 0.792 0.501 0.501
Ho 0.000 0.299 0.299
Ho 0.304 0.850 0.850
Ho 0.500 0.354 0.354
Ho 0.696 0.850 0.850



This entry pairs a crystal structure of Ac2Ge3Ir4 with its simulated powder X-ray diffraction pattern. Radiation: Cu Ka. Structure: DFT lattice parameters and positions (PBE).

Largest 10 diffraction maxima, in order of rising 2θ, 10° ≤ 2θ ≤ 90°:
2θ (°)	I_rel
33.10	33
34.25	100
34.46	61
38.05	48
38.84	81
39.84	23
41.94	24
56.18	25
62.62	18
69.48	22

Cell and atoms:
a = 8.467 Å, b = 8.467 Å, c = 7.432 Å
α = 90.00°, β = 90.00°, γ = 138.98°
Positions (direct):
Ac 0.106 0.894 0.908
Ac 0.394 0.606 0.408
Ac 0.606 0.394 0.592
Ac 0.894 0.106 0.092
Ge 0.000 0.000 0.500
Ge 0.020 0.480 0.750
Ge 0.480 0.020 0.250
Ge 0.500 0.500 0.000
Ge 0.520 0.980 0.750
Ge 0.980 0.520 0.250
Ir 0.179 0.321 0.750
Ir 0.183 0.817 0.521
Ir 0.317 0.683 0.021
Ir 0.321 0.179 0.250
Ir 0.679 0.821 0.750
Ir 0.683 0.317 0.979
Ir 0.817 0.183 0.479
Ir 0.821 0.679 0.250



This entry pairs a crystal structure of AcNpBe2O8 with its simulated powder X-ray diffraction pattern. Radiation: Cu Ka. Structure: DFT lattice parameters and positions (PBE).

Largest 10 diffraction maxima, in order of rising 2θ, 10° ≤ 2θ ≤ 90°:
2θ (°)	I_rel
20.03	100
23.70	78
29.89	42
32.56	53
39.54	25
40.72	39
43.73	16
45.77	16
51.27	20
59.68	17

Cell and atoms:
a = 4.685 Å, b = 4.685 Å, c = 7.576 Å
α = 96.60°, β = 96.60°, γ = 71.74°
Positions (direct):
Ac 0.000 0.000 0.000
Np 0.000 0.000 0.500
Be 0.406 0.406 0.733
Be 0.594 0.594 0.267
O 0.239 0.756 0.288
O 0.244 0.761 0.712
O 0.253 0.253 0.550
O 0.341 0.341 0.929
O 0.659 0.659 0.071
O 0.747 0.747 0.450
O 0.756 0.239 0.288
O 0.761 0.244 0.712



This entry pairs a crystal structure of DyH12Rh5 with its simulated powder X-ray diffraction pattern. Radiation: Cu Ka. Structure: DFT lattice parameters and positions (PBE).

Largest 10 diffraction maxima, in order of rising 2θ, 10° ≤ 2θ ≤ 90°:
2θ (°)	I_rel
28.68	26
31.14	67
31.54	62
37.17	100
37.48	100
39.37	35
39.54	35
41.03	58
48.54	42
63.03	39

Cell and atoms:
a = 3.751 Å, b = 5.759 Å, c = 6.999 Å
α = 102.28°, β = 104.78°, γ = 90.24°
Positions (direct):
Dy 0.000 0.000 0.000
H 0.150 0.633 0.842
H 0.152 0.285 0.842
H 0.198 0.358 0.460
H 0.229 0.869 0.451
H 0.393 0.560 0.238
H 0.425 0.952 0.793
H 0.575 0.048 0.207
H 0.607 0.440 0.762
H 0.771 0.131 0.549
H 0.802 0.642 0.540
H 0.848 0.715 0.158
H 0.850 0.367 0.158
Rh 0.324 0.666 0.645
Rh 0.327 0.159 0.640
Rh 0.500 0.500 0.000
Rh 0.673 0.841 0.360
Rh 0.676 0.334 0.355



This entry pairs a crystal structure of CeAlGaHg with its simulated powder X-ray diffraction pattern. Radiation: Cu Ka. Structure: DFT lattice parameters and positions (PBE).

Largest 10 diffraction maxima, in order of rising 2θ, 10° ≤ 2θ ≤ 90°:
2θ (°)	I_rel
21.84	34
25.27	7
36.04	100
42.54	19
51.89	18
56.95	8
64.80	36
76.44	11
80.64	6
87.54	16

Cell and atoms:
a = 7.049 Å, b = 7.049 Å, c = 7.049 Å
α = 90.00°, β = 90.00°, γ = 90.00°
Positions (direct):
Ce 0.000 0.000 0.000
Ce 0.000 0.500 0.500
Ce 0.500 0.000 0.500
Ce 0.500 0.500 0.000
Al 0.000 0.000 0.500
Al 0.000 0.500 0.000
Al 0.500 0.000 0.000
Al 0.500 0.500 0.500
Ga 0.250 0.250 0.250
Ga 0.250 0.750 0.750
Ga 0.750 0.250 0.750
Ga 0.750 0.750 0.250
Hg 0.250 0.250 0.750
Hg 0.250 0.750 0.250
Hg 0.750 0.250 0.250
Hg 0.750 0.750 0.750



This entry pairs a crystal structure of In4BiSe2 with its simulated powder X-ray diffraction pattern. Radiation: Cu Ka. Structure: DFT lattice parameters and positions (PBE).

Largest 10 diffraction maxima, in order of rising 2θ, 10° ≤ 2θ ≤ 90°:
2θ (°)	I_rel
14.31	15
22.16	32
27.07	20
32.54	20
33.58	100
34.05	25
44.03	11
47.82	11
48.63	10
60.67	22

Cell and atoms:
a = 6.656 Å, b = 6.656 Å, c = 10.531 Å
α = 90.00°, β = 90.00°, γ = 111.54°
Positions (direct):
In 0.000 0.500 0.280
In 0.000 0.500 0.720
In 0.226 0.257 0.000
In 0.257 0.226 0.500
In 0.500 0.000 0.220
In 0.500 0.000 0.780
In 0.743 0.774 0.500
In 0.774 0.743 0.000
Bi 0.000 0.000 0.250
Bi 0.000 0.000 0.750
Se 0.299 0.669 0.500
Se 0.331 0.701 0.000
Se 0.669 0.299 0.000
Se 0.701 0.331 0.500



This entry pairs a crystal structure of Ca4PmHo3Te8 with its simulated powder X-ray diffraction pattern. Radiation: Cu Ka. Structure: DFT lattice parameters and positions (PBE).

Largest 10 diffraction maxima, in order of rising 2θ, 10° ≤ 2θ ≤ 90°:
2θ (°)	I_rel
12.06	17
23.71	10
28.50	100
40.43	39
41.05	37
50.73	20
58.98	13
66.34	17
67.22	17
74.36	12

Cell and atoms:
a = 8.926 Å, b = 8.926 Å, c = 8.926 Å
α = 59.03°, β = 59.03°, γ = 59.03°
Positions (direct):
Ca 0.000 0.000 0.000
Ca 0.000 0.500 0.500
Ca 0.500 0.000 0.500
Ca 0.500 0.500 0.000
Pm 0.500 0.500 0.500
Ho 0.000 0.000 0.500
Ho 0.000 0.500 0.000
Ho 0.500 0.000 0.000
Te 0.244 0.752 0.752
Te 0.248 0.248 0.248
Te 0.248 0.248 0.756
Te 0.248 0.756 0.248
Te 0.752 0.244 0.752
Te 0.752 0.752 0.244
Te 0.752 0.752 0.752
Te 0.756 0.248 0.248



This entry pairs a crystal structure of In3Hg5Te with its simulated powder X-ray diffraction pattern. Radiation: Cu Ka. Structure: DFT lattice parameters and positions (PBE).

Largest 10 diffraction maxima, in order of rising 2θ, 10° ≤ 2θ ≤ 90°:
2θ (°)	I_rel
16.48	37
23.71	78
29.29	94
29.55	100
33.31	45
34.25	62
43.67	36
45.12	46
45.67	47
48.52	26

Cell and atoms:
a = 11.105 Å, b = 7.508 Å, c = 7.508 Å
α = 88.44°, β = 90.00°, γ = 90.00°
Positions (direct):
In 0.000 0.000 0.000
In 0.150 0.546 0.546
In 0.342 0.068 0.068
In 0.500 0.572 0.572
In 0.658 0.068 0.068
In 0.850 0.546 0.546
Hg 0.000 0.358 0.840
Hg 0.000 0.840 0.358
Hg 0.145 0.267 0.267
Hg 0.326 0.352 0.797
Hg 0.326 0.797 0.352
Hg 0.500 0.302 0.302
Hg 0.500 0.840 0.840
Hg 0.674 0.352 0.797
Hg 0.674 0.797 0.352
Hg 0.855 0.267 0.267
Te 0.199 0.829 0.829
Te 0.801 0.829 0.829